Theoretical X-ray diffraction stick pattern
Compound: LaDy2ErSb4
Radiation: copper Kα
Structure: a DFT-relaxed cell (GGA-PBE, Alexandria)
Peak positions follow from Bragg's law for the DFT cell and can differ from measured ones.

Largest 6 diffraction maxima, by angle, 2θ from 10° to 90°:
hkl	2θ (°)	I (rel.)
2 0 0	28.4	100
2 2 0	40.6	76
2 2 4	50.3	27
4 2 0	66.6	23
2 0 8	66.6	11
4 2 4	73.9	26

Atomic structure:
```
LaDy2ErSb4
1.0
6.2845 0.0000 0.0000
0.0000 6.2845 0.0000
0.0000 0.0000 12.5465
La Dy Er Sb
2 4 2 8
Direct
0.0000 0.0000 0.0000
0.5000 0.5000 0.5000
0.0000 0.5000 0.2500
0.0000 0.5000 0.7500
0.5000 0.0000 0.2500
0.5000 0.0000 0.7500
0.0000 0.0000 0.5000
0.5000 0.5000 0.0000
0.0000 0.0000 0.2557
0.0000 0.0000 0.7443
0.0000 0.5000 0.0000
0.0000 0.5000 0.5000
0.5000 0.0000 0.0000
0.5000 0.0000 0.5000
0.5000 0.5000 0.2443
0.5000 0.5000 0.7557
```